Computed powder XRD pattern of Pa3Tl4WO12 for Cu Ka, from a GGA+U-relaxed structure.

Largest 8 diffraction maxima, in order of rising 2θ, 10° ≤ 2θ ≤ 90°:
- (2 0 0), 2θ 20.5, I = 0.8
- (2 2 0), 2θ 29.2, I = 100.0
- (4 0 0), 2θ 41.8, I = 26.1
- (4 2 2), 2θ 51.8, I = 42.7
- (4 4 0), 2θ 60.5, I = 17.2
- (6 2 0), 2θ 68.6, I = 18.9
- (4 4 4), 2θ 76.2, I = 5.8
- (6 4 2), 2θ 83.6, I = 22.7

Crystal structure
```
data_Pa3Tl4WO12
_chemical_formula_sum 'Pa6 Tl8 W2 O24'
_cell_length_a 8.6514
_cell_length_b 8.6514
_cell_length_c 8.6514
_cell_angle_alpha 90.00
_cell_angle_beta 90.00
_cell_angle_gamma 90.00
_space_group_name_H-M_alt 'I m -3 m'
_space_group_IT_number 229
_space_group_name_Hall '-I 4 2 3'
loop_
_atom_site_label
_atom_site_type_symbol
_atom_site_fract_x
_atom_site_fract_y
_atom_site_fract_z
Pa1 Pa 0.0000 0.0000 0.5000
Tl1 Tl 0.2500 0.2500 0.2500
W1 W 0.0000 0.0000 0.0000
O1 O 0.0000 0.0000 0.2355
O2 O 0.0000 0.2500 0.5000
```